Entry 1:
For Rb4CaF6, a DFT-relaxed cell (PBE, Alexandria) gives the calculated powder diffractogram in this record (Cu Ka).
Lines closer than 0.1° are merged.

Largest 10 diffraction maxima, sorted by position, 2θ from 10° to 80°:
Position (°2θ)  intensity  h k l
25.50  75  1 1 3
28.22  100  3 0 0
32.38  17  0 2 4
36.41  26  2 1 4
38.40  63  2 2 3
39.73  18  0 0 6
48.34  19  1 4 3
49.45  22  3 0 6
49.74  19  3 2 4
49.96  20  3 3 0

Cell and atoms:
```
data_Rb4CaF6
_chemical_formula_sum 'Rb24 Ca6 F36'
_space_group_name_H-M_alt 'R -3 c'
_space_group_IT_number 167
_space_group_name_Hall '-R 3 2"c'
_cell_length_a 10.9505
_cell_length_b 10.9505
_cell_length_c 13.6108
_cell_angle_alpha 90.00
_cell_angle_beta 90.00
_cell_angle_gamma 120.00
loop_
_atom_site_label
_atom_site_fract_x
_atom_site_fract_y
_atom_site_fract_z
Rb1 0.0000 0.0000 0.2500
Rb2 0.0000 0.3585 0.2500
Ca1 0.0000 0.0000 0.0000
F1 0.0245 0.1800 0.4019
```



Entry 2:
For K2Cu3F8, a DFT-relaxed cell (PBE, Alexandria) gives the calculated powder diffractogram in this record (Cu Ka).
Lines closer than 0.1° are merged.

Largest 10 diffraction maxima, sorted by position, 2θ from 10° to 80°:
Position (°2θ)  intensity  h k l
22.65  79  1 0 0
23.22  38  0 0 3
27.51  34  1 0 2
32.24  51  1 1 0
32.66  100  1 0 3
39.20  37  0 0 5
46.24  78  2 0 0
57.76  36  2 1 3
62.19  31  2 0 5
67.47  21  2 2 0

Cell and atoms:
```
data_K2Cu3F8
_chemical_formula_sum 'K2 Cu3 F8'
_space_group_name_H-M_alt 'P 4/m m m'
_space_group_IT_number 123
_space_group_name_Hall '-P 4 2'
_cell_length_a 3.9264
_cell_length_b 3.9264
_cell_length_c 11.4911
_cell_angle_alpha 90.00
_cell_angle_beta 90.00
_cell_angle_gamma 90.00
loop_
_atom_site_label
_atom_site_fract_x
_atom_site_fract_y
_atom_site_fract_z
K1 0.0000 0.0000 0.1895
Cu1 0.5000 0.5000 0.0000
Cu2 0.5000 0.5000 0.3704
F1 0.0000 0.5000 0.0000
F2 0.0000 0.5000 0.3659
F3 0.5000 0.5000 0.1741
```



Entry 3:
For La2Pr2NdTm, a DFT-relaxed cell (PBE, Alexandria) gives the calculated powder diffractogram in this record (Cu Ka).
Lines closer than 0.1° are merged.

Largest 10 diffraction maxima, sorted by position, 2θ from 10° to 80°:
Position (°2θ)  intensity  h k l
30.59  93  2 1 1
30.74  100  0 2 0
39.90  9  2 2 0
43.92  34  2 2 2
54.56  36  2 3 1
54.65  19  0 3 3
60.65  29  4 2 0
64.02  12  0 4 0
72.58  10  2 4 2
77.93  14  4 3 3

Cell and atoms:
```
data_La2Pr2NdTm
_chemical_formula_sum 'La4 Pr4 Nd2 Tm2'
_space_group_name_H-M_alt 'P m m a'
_space_group_IT_number 51
_cell_length_a 7.1748
_cell_length_b 5.8231
_cell_length_c 10.0674
_cell_angle_alpha 90.00
_cell_angle_beta 90.00
_cell_angle_gamma 90.00
loop_
_space_group_symop_operation_xyz
'x,y,z'
'-x,-y,-z'
'-x+1/2,-y,z'
'x+1/2,y,-z'
'x+1/2,-y,-z'
'-x+1/2,y,z'
'-x,y,-z'
'x,-y,z'
loop_
_atom_site_label
_atom_site_fract_x
_atom_site_fract_y
_atom_site_fract_z
La1 0.0000 0.0000 0.0000
La2 0.2500 0.5000 0.1782
Pr1 0.2500 0.0000 0.3324
Pr2 0.2500 0.5000 0.8360
Nd1 0.2500 0.0000 0.6572
Tm1 0.0000 0.5000 0.5000
```



Entry 4:
For KLaCuI6, a DFT-relaxed cell (PBE, Alexandria) gives the calculated powder diffractogram in this record (Cu Ka).
Lines closer than 0.1° are merged.

Largest 10 diffraction maxima, sorted by position, 2θ from 10° to 80°:
Position (°2θ)  intensity  h k l
11.05  77  0 0 1
12.77  38  0 1 0
22.92  100  1 1 -1
25.29  33  1 1 1
25.79  70  -2 1 1
26.73  60  -1 2 1
27.02  81  2 -1 1
29.09  40  1 1 -2
33.50  39  -1 2 2
40.58  40  2 0 -3

Cell and atoms:
```
data_KLaCuI6
_chemical_formula_sum 'K1 La1 Cu1 I6'
_space_group_name_H-M_alt 'P 1'
_space_group_IT_number 1
_cell_length_a 7.5170
_cell_length_b 7.5567
_cell_length_c 8.0617
_cell_angle_alpha 93.34
_cell_angle_beta 94.18
_cell_angle_gamma 112.57
loop_
_space_group_symop_operation_xyz
'x,y,z'
loop_
_atom_site_label
_atom_site_fract_x
_atom_site_fract_y
_atom_site_fract_z
K1 0.0000 0.0000 0.0000
La1 0.3602 0.6790 0.5090
Cu1 0.7477 0.3586 0.4558
I1 0.0128 0.6001 0.2358
I2 0.0368 0.3273 0.6595
I3 0.4020 0.9746 0.8015
I4 0.4474 0.3770 0.2606
I5 0.6635 0.0012 0.3114
I6 0.6884 0.5771 0.7048
```